Starting from DFT lattice parameters and positions (GGA+U), the XRD peak list of MgCd2Ni4O8 was computed for Cu Kα (weighted mean of Kα1 and Kα2).

```
MgCd2Ni4O8
1.0
-2.958 2.958 5.721
2.958 -2.958 5.721
2.958 2.958 -5.721
Mg Cd Ni O
1 2 4 8
direct
0.000 0.000 0.000
0.250 0.750 0.500
0.500 0.500 0.000
0.426 0.171 0.255
0.829 0.085 0.255
0.829 0.574 0.745
0.915 0.171 0.745
0.076 0.349 0.727
0.081 0.869 0.212
0.131 0.342 0.212
0.131 0.919 0.788
0.622 0.349 0.273
0.651 0.378 0.727
0.651 0.924 0.273
0.658 0.869 0.788
```

Top 8 peaks for 2θ = 10–80°, low angle first:
26.40°, intensity 100
27.83°, intensity 74
30.22°, intensity 35
34.81°, intensity 98
44.04°, intensity 35
51.39°, intensity 28
54.34°, intensity 39
56.68°, intensity 32

---

Starting from DFT lattice parameters and positions (GGA+U), the XRD peak list of MgCd2Ni4O8 was computed for Cu Kα (weighted mean of Kα1 and Kα2).

```
MgCd2Ni4O8
1.0
5.800 0.000 0.000
2.899 5.369 0.000
0.022 3.108 5.468
Mg Cd Ni O
1 2 4 8
direct
0.000 0.000 0.000
0.206 0.570 0.496
0.939 0.122 0.498
0.004 0.489 0.010
0.507 0.490 0.009
0.518 0.964 0.036
0.548 0.903 0.549
0.232 0.534 0.181
0.262 0.974 0.277
0.292 0.945 0.790
0.304 0.392 0.871
0.728 0.543 0.183
0.761 0.973 0.276
0.767 0.942 0.790
0.776 0.451 0.821
```

Top 8 peaks for 2θ = 10–80°, low angle first:
20.89°, intensity 56
29.40°, intensity 87
30.83°, intensity 47
32.66°, intensity 96
32.75°, intensity 100
34.81°, intensity 59
34.96°, intensity 47
38.57°, intensity 68

---

Starting from DFT lattice parameters and positions (GGA+U), the XRD peak list of Sr2MgCdWO6 was computed for Cu Kα (weighted mean of Kα1 and Kα2).

```
Sr2MgCdWO6
1.0
5.514 0.000 0.000
-0.677 5.841 0.000
-1.858 -2.566 5.225
Sr Mg Cd W O
2 1 1 1 6
direct
0.179 0.237 0.423
0.821 0.763 0.577
0.500 0.500 0.000
0.500 0.000 0.000
0.000 0.500 0.000
0.173 0.182 0.847
0.200 0.633 0.814
0.351 0.628 0.301
0.649 0.372 0.699
0.800 0.367 0.186
0.827 0.818 0.153
```

Top 8 peaks for 2θ = 10–80°, low angle first:
16.95°, intensity 43
26.53°, intensity 39
27.56°, intensity 100
30.70°, intensity 52
30.97°, intensity 44
32.92°, intensity 27
34.32°, intensity 22
42.61°, intensity 19

---

Starting from DFT lattice parameters and positions (GGA+U), the XRD peak list of Sr2MgCdWO6 was computed for Cu Kα (weighted mean of Kα1 and Kα2).

```
Sr2MgCdWO6
1.0
4.439 -4.008 0.000
4.439 4.008 0.000
-4.377 0.000 4.773
Sr Mg Cd W O
2 1 1 1 6
direct
0.200 0.800 0.000
0.800 0.200 0.000
0.171 0.171 0.715
0.749 0.749 0.382
0.432 0.432 0.535
0.143 0.143 0.388
0.182 0.723 0.564
0.263 0.263 0.091
0.497 0.497 0.927
0.723 0.182 0.564
0.725 0.725 0.698
```

Top 8 peaks for 2θ = 10–80°, low angle first:
20.00°, intensity 73
22.18°, intensity 34
27.62°, intensity 64
29.09°, intensity 100
31.78°, intensity 44
33.51°, intensity 55
36.32°, intensity 45
45.26°, intensity 39

---

Starting from DFT lattice parameters and positions (GGA+U), the XRD peak list of Mg14VCdO16 was computed for Cu Kα (weighted mean of Kα1 and Kα2).

```
Mg14VCdO16
1.0
8.616 0.000 0.000
0.000 8.616 0.000
0.000 0.000 4.320
Mg V Cd O
14 1 1 16
direct
0.000 0.250 0.000
0.000 0.500 0.500
0.000 0.750 0.000
0.245 0.500 0.000
0.248 0.248 0.500
0.248 0.752 0.500
0.250 0.000 0.000
0.500 0.000 0.500
0.500 0.245 0.000
0.500 0.755 0.000
0.750 0.000 0.000
0.752 0.248 0.500
0.752 0.752 0.500
0.755 0.500 0.000
0.000 0.000 0.500
0.500 0.500 0.500
0.000 0.000 0.000
0.000 0.253 0.500
0.000 0.500 0.000
0.000 0.747 0.500
0.235 0.500 0.500
0.250 0.250 0.000
0.250 0.750 0.000
0.253 0.000 0.500
0.500 0.000 0.000
0.500 0.235 0.500
0.500 0.500 0.000
0.500 0.765 0.500
0.747 0.000 0.500
0.750 0.250 0.000
0.750 0.750 0.000
0.765 0.500 0.500
```

Top 8 peaks for 2θ = 10–80°, low angle first:
14.54°, intensity 24
20.60°, intensity 21
29.29°, intensity 18
36.08°, intensity 35
41.82°, intensity 51
41.94°, intensity 100
60.75°, intensity 86
76.53°, intensity 26

---

Starting from DFT lattice parameters and positions (GGA+U), the XRD peak list of Mg6VCdO8 was computed for Cu Kα (weighted mean of Kα1 and Kα2).

```
Mg6VCdO8
1.0
4.384 0.000 0.000
0.000 4.384 0.000
0.000 0.000 8.702
Mg V Cd O
6 1 1 8
direct
0.000 0.000 0.000
0.000 0.500 0.243
0.000 0.500 0.757
0.500 0.000 0.243
0.500 0.000 0.757
0.500 0.500 0.000
0.000 0.000 0.500
0.500 0.500 0.500
0.000 0.000 0.245
0.000 0.000 0.755
0.000 0.500 0.000
0.000 0.500 0.500
0.500 0.000 0.000
0.500 0.000 0.500
0.500 0.500 0.233
0.500 0.500 0.767
```

Top 8 peaks for 2θ = 10–80°, low angle first:
10.17°, intensity 78
30.62°, intensity 30
35.56°, intensity 53
41.18°, intensity 100
41.51°, intensity 48
59.65°, intensity 29
59.90°, intensity 56
75.28°, intensity 26

---

Starting from DFT lattice parameters and positions (GGA+U), the XRD peak list of MgV2Cd2O7 was computed for Cu Kα (weighted mean of Kα1 and Kα2).

```
MgV2Cd2O7
1.0
5.554 0.000 0.000
0.936 5.723 0.000
0.079 2.356 5.350
Mg V Cd O
1 2 2 7
direct
0.000 0.000 0.000
0.181 0.716 0.520
0.403 0.260 0.998
0.738 0.673 0.884
0.790 0.328 0.503
0.022 0.915 0.684
0.081 0.380 0.821
0.265 0.995 0.238
0.486 0.560 0.658
0.542 0.392 0.179
0.636 0.065 0.892
0.976 0.665 0.303
```

Top 8 peaks for 2θ = 10–80°, low angle first:
16.20°, intensity 58
23.19°, intensity 44
23.91°, intensity 33
25.83°, intensity 100
30.69°, intensity 44
33.12°, intensity 33
34.28°, intensity 33
44.76°, intensity 54

---

Starting from DFT lattice parameters and positions (GGA+U), the XRD peak list of Mg14VCdO16 was computed for Cu Kα (weighted mean of Kα1 and Kα2).

```
Mg14VCdO16
1.0
4.321 0.000 0.000
0.000 8.614 0.000
0.000 0.000 8.666
Mg V Cd O
14 1 1 16
direct
0.000 0.000 0.000
0.000 0.000 0.500
0.000 0.247 0.248
0.000 0.247 0.752
0.000 0.753 0.248
0.000 0.753 0.752
0.500 0.000 0.249
0.500 0.000 0.751
0.500 0.245 0.500
0.500 0.249 0.000
0.500 0.500 0.246
0.500 0.500 0.754
0.500 0.751 0.000
0.500 0.755 0.500
0.000 0.500 0.000
0.000 0.500 0.500
0.000 0.000 0.247
0.000 0.000 0.753
0.000 0.234 0.500
0.000 0.244 0.000
0.000 0.500 0.241
0.000 0.500 0.759
0.000 0.756 0.000
0.000 0.766 0.500
0.500 0.000 0.000
0.500 0.000 0.500
0.500 0.251 0.250
0.500 0.251 0.750
0.500 0.500 0.000
0.500 0.500 0.500
0.500 0.749 0.250
0.500 0.749 0.750
```

Top 8 peaks for 2θ = 10–80°, low angle first:
10.26°, intensity 61
36.01°, intensity 61
41.69°, intensity 89
41.81°, intensity 88
41.95°, intensity 87
60.52°, intensity 51
60.68°, intensity 100
76.36°, intensity 46

---

Starting from DFT lattice parameters and positions (GGA+U), the XRD peak list of Mg6VCdO8 was computed for Cu Kα (weighted mean of Kα1 and Kα2).

```
Mg6VCdO8
1.0
4.374 0.000 0.000
0.000 4.374 0.000
0.000 0.000 8.793
Mg V Cd O
6 1 1 8
direct
0.000 0.000 0.000
0.000 0.000 0.500
0.000 0.500 0.246
0.000 0.500 0.754
0.500 0.000 0.246
0.500 0.000 0.754
0.500 0.500 0.000
0.500 0.500 0.500
0.000 0.000 0.250
0.000 0.000 0.750
0.000 0.500 0.000
0.000 0.500 0.500
0.500 0.000 0.000
0.500 0.000 0.500
0.500 0.500 0.240
0.500 0.500 0.760
```

Top 8 peaks for 2θ = 10–80°, low angle first:
20.30°, intensity 42
28.82°, intensity 53
35.49°, intensity 54
41.06°, intensity 50
41.28°, intensity 100
59.64°, intensity 58
59.81°, intensity 29
75.11°, intensity 27

---

Starting from DFT lattice parameters and positions (GGA+U), the XRD peak list of MgV2Cd2O7 was computed for Cu Kα (weighted mean of Kα1 and Kα2).

```
MgV2Cd2O7
1.0
3.198 -4.913 0.000
3.198 4.913 0.000
-1.335 0.000 5.300
Mg V Cd O
1 2 2 7
direct
0.000 0.000 0.000
0.467 0.052 0.886
0.948 0.533 0.114
0.513 0.487 0.500
0.871 0.129 0.500
0.127 0.348 0.242
0.211 0.789 0.000
0.239 0.150 0.742
0.639 0.246 0.211
0.652 0.873 0.758
0.754 0.361 0.789
0.850 0.761 0.258
```

Top 8 peaks for 2θ = 10–80°, low angle first:
16.90°, intensity 61
24.71°, intensity 100
26.26°, intensity 67
29.61°, intensity 51
30.87°, intensity 32
33.52°, intensity 50
37.02°, intensity 59
49.18°, intensity 33

---

Starting from DFT lattice parameters and positions (GGA+U), the XRD peak list of MgV2Cd2O7 was computed for Cu Kα (weighted mean of Kα1 and Kα2).

```
MgV2Cd2O7
1.0
3.190 -5.010 0.000
3.190 5.010 0.000
-0.649 0.000 5.422
Mg V Cd O
1 2 2 7
direct
0.000 0.000 0.000
0.377 0.377 0.275
0.842 0.842 0.499
0.398 0.764 0.875
0.764 0.398 0.875
0.029 0.752 0.721
0.099 0.099 0.373
0.154 0.435 0.065
0.435 0.154 0.065
0.531 0.531 0.579
0.700 0.700 0.165
0.752 0.029 0.721
```

Top 8 peaks for 2θ = 10–80°, low angle first:
16.35°, intensity 64
24.19°, intensity 100
24.51°, intensity 35
30.25°, intensity 38
30.96°, intensity 38
35.40°, intensity 34
45.12°, intensity 33
46.70°, intensity 52

---

Starting from DFT lattice parameters and positions (GGA+U), the XRD peak list of MgCd2W2O8 was computed for Cu Kα (weighted mean of Kα1 and Kα2).

```
MgCd2W2O8
1.0
5.424 0.000 0.000
1.021 5.439 0.000
1.186 0.423 6.131
Mg Cd W O
1 2 2 8
direct
0.000 0.000 0.000
0.758 0.609 0.912
0.781 0.141 0.583
0.318 0.665 0.486
0.350 0.203 0.212
0.059 0.827 0.728
0.114 0.316 0.021
0.123 0.393 0.471
0.142 0.897 0.268
0.510 0.977 0.435
0.536 0.480 0.219
0.553 0.516 0.664
0.635 0.041 0.984
```

Top 8 peaks for 2θ = 10–80°, low angle first:
20.26°, intensity 100
23.54°, intensity 47
24.17°, intensity 67
28.22°, intensity 89
28.51°, intensity 71
30.37°, intensity 64
33.01°, intensity 50
34.57°, intensity 69